# 1
Diffraction record for Li3In4Ga. The powder XRD pattern is computed, not measured: it uses DFT lattice parameters and positions (PBE) and Cu Kα, 1.54184 Å.
No peak broadening, texture or thermal motion is included.

Atomic structure:
```
Li3In4Ga
1.0
3.2537 0.0000 0.0000
0.0059 4.4191 0.0000
1.6176 1.7813 12.0150
Li In Ga
3 4 1
Direct
0.0000 0.0000 0.0000
0.1465 0.6455 0.7045
0.8535 0.3545 0.2955
0.2820 0.7787 0.4356
0.4097 0.9060 0.1860
0.5903 0.0940 0.8140
0.7180 0.2213 0.5644
0.5000 0.5000 0.0000
```

Principal peaks in the range 2θ = 15–90°, by angle:
two_theta, I_rel
22.6, 47
23.3, 46
27.7, 100
32.5, 70
33.6, 65
34.2, 98
40.8, 53
40.9, 58
41.6, 48
43.9, 54

---

# 2
Diffraction record for BaTlGa2F8. The powder XRD pattern is computed, not measured: it uses DFT lattice parameters and positions (PBE) and Cu Kα, 1.54184 Å.
No peak broadening, texture or thermal motion is included.

Atomic structure:
```
BaTlGa2F8
1.0
5.4233 0.0000 0.0000
-2.7116 4.6967 0.0000
0.0000 0.0000 9.3920
Ba Tl Ga F
1 1 2 8
Direct
0.0000 0.0000 0.0000
0.0000 0.0000 0.5000
0.3333 0.6667 0.7731
0.6667 0.3333 0.2269
0.0208 0.3118 0.7550
0.2911 0.9792 0.7550
0.3118 0.2911 0.2450
0.3333 0.6667 0.9730
0.6667 0.3333 0.0270
0.6882 0.7089 0.7550
0.7089 0.0208 0.2450
0.9792 0.6882 0.2450
```

Principal peaks in the range 2θ = 15–90°, by angle:
two_theta, I_rel
18.9, 56
21.1, 38
26.8, 100
33.0, 45
38.3, 46
43.1, 50
51.5, 29
55.3, 37
72.6, 27
82.1, 19

---

# 3
Diffraction record for Bi4S2Cl3. The powder XRD pattern is computed, not measured: it uses DFT lattice parameters and positions (PBE) and Cu Kα, 1.54184 Å.
No peak broadening, texture or thermal motion is included.

Atomic structure:
```
Bi4S2Cl3
1.0
8.7924 -1.8929 0.0000
8.7924 1.8929 0.0000
-5.6989 0.0000 8.6272
Bi S Cl
4 2 3
Direct
0.0307 0.0307 0.1711
0.3214 0.3214 0.2315
0.6786 0.6786 0.7685
0.9693 0.9693 0.8289
0.1439 0.1439 0.9220
0.8561 0.8561 0.0780
0.2691 0.2691 0.6917
0.5000 0.5000 0.5000
0.7309 0.7309 0.3083
```

Principal peaks in the range 2θ = 15–90°, by angle:
two_theta, I_rel
20.4, 95
20.6, 83
25.1, 100
26.9, 43
29.8, 84
30.0, 60
31.3, 31
37.0, 50
42.2, 44
45.3, 51

---

# 4
Diffraction record for NdY2Ho4Er2. The powder XRD pattern is computed, not measured: it uses DFT lattice parameters and positions (PBE) and Cu Kα, 1.54184 Å.
No peak broadening, texture or thermal motion is included.

Atomic structure:
```
NdY2Ho4Er2
1.0
6.0031 0.0000 0.0000
2.9473 5.9521 0.0000
2.9298 0.3003 8.0711
Nd Y Ho Er
1 2 4 2
Direct
0.0000 0.0000 0.0000
0.2678 0.6715 0.6562
0.7322 0.3285 0.3438
0.2705 0.4188 0.1206
0.3794 0.8715 0.2406
0.6206 0.1285 0.7594
0.7295 0.5812 0.8794
0.1835 0.2258 0.5538
0.8165 0.7742 0.4462
```

Principal peaks in the range 2θ = 15–90°, by angle:
two_theta, I_rel
29.8, 41
31.7, 62
32.0, 53
32.2, 100
32.3, 53
33.3, 14
43.8, 14
44.3, 14
48.2, 20
56.9, 20